[1]
Computed powder diffraction line list of Sr3Pd6Pb5 for CuKα, from a crystal structure in Alexandria, relaxed with PBE.
Lines closer than 0.1° are merged.

Structural model:
abc: 4.6643 13.9495 10.4216
angles: 90.00 90.00 90.00
Space group Pmmn (No. 59, origin choice 2)
One atom of each set of equivalent atoms:
Sr 0.2500 0.0604 0.2494 [4 per cell]
Sr 0.2500 0.7500 0.2639 [2 per cell]
Pd 0.2500 0.0848 0.8601 [4 per cell]
Pd 0.2500 0.2500 0.0247 [2 per cell]
Pd 0.2500 0.2500 0.4307 [2 per cell]
Pd 0.2500 0.6311 0.5316 [4 per cell]
Pb 0.2500 0.0785 0.5904 [4 per cell]
Pb 0.2500 0.6086 0.9899 [4 per cell]
Pb 0.2500 0.7500 0.7490 [2 per cell]

The 12 most intense peaks (15 to 90 degrees two-theta), in order of rising 2θ:
Position (°2θ)	d (Å)	Rel. int.
17.02	5.211	174
20.89	4.251	258
28.42	3.140	212
30.85	2.898	235
32.15	2.784	1000
34.67	2.587	292
37.59	2.393	227
38.60	2.332	459
38.73	2.325	238
40.17	2.245	236
41.50	2.176	399
44.34	2.043	167

***

[2]
Computed powder diffraction line list of Sr3Pd7Pb2 for CuKα, from a crystal structure in Alexandria, relaxed with PBE.
Lines closer than 0.1° are merged.

Structural model:
abc: 5.8598 5.8598 26.7179
angles: 90.00 90.00 120.00
Space group R-3m (No. 166, hexagonal axes)
One atom of each set of equivalent atoms:
Sr 0.0000 0.0000 0.0000 [3 per cell]
Sr 0.0000 0.0000 0.1408 [6 per cell]
Pd 0.0000 0.0000 0.5000 [3 per cell]
Pd 0.0001 0.5001 0.0844 [18 per cell]
Pb 0.0000 0.0000 0.3326 [6 per cell]

The 12 most intense peaks (15 to 90 degrees two-theta), in order of rising 2θ:
Position (°2θ)	d (Å)	Rel. int.
17.79	4.986	317
30.51	2.930	307
35.54	2.526	130
36.72	2.448	1000
37.93	2.372	137
39.31	2.292	357
40.52	2.226	210
41.20	2.191	157
42.80	2.113	131
58.35	1.581	261
63.50	1.465	241
78.09	1.224	184

***

[3]
Computed powder diffraction line list of SrPd6Pb6 for CuKα, from a crystal structure in Alexandria, relaxed with PBE.
Lines closer than 0.1° are merged.

Structural model:
abc: 5.9113 9.4424 10.2578
angles: 90.00 90.00 90.00
Space group Immm (No. 71)
One atom of each set of equivalent atoms:
Sr 0.0000 0.0000 0.0000 [2 per cell]
Pd 0.0000 0.2603 0.5000 [4 per cell]
Pd 0.2500 0.2500 0.2500 [8 per cell]
Pb 0.0000 0.0000 0.3411 [4 per cell]
Pb 0.0000 0.3389 0.0000 [4 per cell]
Pb 0.0000 0.5000 0.3248 [4 per cell]

The 12 most intense peaks (15 to 90 degrees two-theta), in order of rising 2θ:
Position (°2θ)	d (Å)	Rel. int.
30.21	2.958	963
35.02	2.562	304
35.82	2.507	913
36.79	2.443	240
38.12	2.361	245
40.04	2.252	1000
42.15	2.144	412
57.37	1.606	231
61.98	1.497	263
62.82	1.479	386
67.40	1.389	389
83.53	1.157	221

***

[4]
Computed powder diffraction line list of Sr2Pd3Pb4 for CuKα, from a crystal structure in Alexandria, relaxed with PBE.
Lines closer than 0.1° are merged.

Structural model:
abc: 6.0351 10.7630 14.4892
angles: 90.00 90.00 90.00
Space group Fmmm (No. 69)
One atom of each set of equivalent atoms:
Sr 0.0000 0.0000 0.1250 [8 per cell]
Pd 0.0000 0.0000 0.5000 [4 per cell]
Pd 0.2500 0.2500 0.0000 [8 per cell]
Pb 0.0000 0.1654 0.3449 [16 per cell]

The 12 most intense peaks (15 to 90 degrees two-theta), in order of rising 2θ:
Position (°2θ)	d (Å)	Rel. int.
16.47	5.381	149
17.93	4.948	214
29.61	3.017	588
34.51	2.599	1000
36.32	2.474	182
37.23	2.415	218
38.84	2.318	264
53.30	1.719	145
55.74	1.649	258
59.97	1.542	216
72.77	1.300	125
85.10	1.140	112

***

[5]
Computed powder diffraction line list of SrPd4Pb2 for CuKα, from a crystal structure in Alexandria, relaxed with PBE.
Lines closer than 0.1° are merged.

Structural model:
abc: 8.3311 8.3311 8.8374
angles: 90.00 90.00 90.00
Space group I4/mcm (No. 140)
One atom of each set of equivalent atoms:
Sr 0.0000 0.0000 0.2500 [4 per cell]
Pd 0.1452 0.3548 0.1651 [16 per cell]
Pb 0.1536 0.3464 0.5000 [8 per cell]

The 12 most intense peaks (15 to 90 degrees two-theta), in order of rising 2θ:
Position (°2θ)	d (Å)	Rel. int.
15.04	5.891	265
25.95	3.433	140
34.03	2.635	539
38.98	2.311	1000
43.45	2.083	158
46.23	1.964	162
55.12	1.666	132
63.13	1.473	102
67.45	1.389	94
68.51	1.370	288
79.74	1.203	90
81.73	1.178	121

***

[6]
Computed powder diffraction line list of Sr3Zn2Pd4Pb2 for CuKα, from a crystal structure in Alexandria, relaxed with PBE.
Lines closer than 0.1° are merged.

Structural model:
abc: 4.5797 4.5797 15.5885
angles: 90.00 90.00 120.00
Space group P-3m1 (No. 164)
One atom of each set of equivalent atoms:
Sr 0.0000 0.0000 0.0000 [1 per cell]
Sr 0.0000 0.0000 0.2641 [2 per cell]
Zn 0.3333 0.6667 0.1347 [2 per cell]
Pd 0.3333 0.6667 0.3820 [2 per cell]
Pd 0.3333 0.6667 0.8697 [2 per cell]
Pb 0.3333 0.6667 0.5688 [2 per cell]

The 12 most intense peaks (15 to 90 degrees two-theta), in order of rising 2θ:
Position (°2θ)	d (Å)	Rel. int.
22.42	3.966	141
23.14	3.844	254
25.19	3.535	184
28.31	3.153	395
32.20	2.780	933
36.66	2.451	208
39.35	2.290	1000
41.55	2.173	216
51.72	1.767	243
57.75	1.596	277
66.87	1.399	224
71.34	1.322	171